For VTc, a structure optimized by DFT (PBE) gives the computed X-ray diffraction stick pattern in this record (Cu Ka).
Lines closer than 0.1° are merged.

Largest 6 diffraction maxima, by angle, 10 to 90 degrees two-theta:
d (Å)	2θ/deg	I_rel
3.027	29.5	15
2.141	42.2	100
1.748	52.3	4
1.514	61.2	16
1.354	69.4	6
1.236	77.2	31

Atomic structure:
Lattice parameters (Å, degrees): 3.0274 3.0274 3.0274 90.00 90.00 90.00
Space group Pm-3m (No. 221)
Symmetry-distinct sites (fractional):
V  0.0000  0.0000  0.0000
Tc  0.5000  0.5000  0.5000

For V3Tc, a structure optimized by DFT (PBE) gives the computed X-ray diffraction stick pattern in this record (Cu Ka).
Lines closer than 0.1° are merged.

Largest 8 diffraction maxima, by angle, 10 to 90 degrees two-theta:
d (Å)	2θ/deg	I_rel
4.243	20.9	13
2.460	36.5	6
2.128	42.5	100
2.122	42.6	49
1.510	61.4	8
1.500	61.8	15
1.230	77.6	15
1.226	77.9	30

Atomic structure:
Lattice parameters (Å, degrees): 4.2430 4.2430 3.0194 90.00 90.00 90.00
Space group P4/mmm (No. 123)
Symmetry-distinct sites (fractional):
V  0.0000  0.0000  0.0000
V  0.0000  0.5000  0.5000
Tc  0.5000  0.5000  0.0000

For V4Tc3, a structure optimized by DFT (PBE) gives the computed X-ray diffraction stick pattern in this record (Cu Ka).
Lines closer than 0.1° are merged.

Largest 8 diffraction maxima, by angle, 10 to 90 degrees two-theta:
d (Å)	2θ/deg	I_rel
6.108	14.5	3
3.630	24.5	4
3.434	25.9	4
2.880	31.0	3
2.605	34.4	2
2.138	42.3	100
1.512	61.3	16
1.234	77.3	30

Atomic structure:
Lattice parameters (Å, degrees): 4.2768 4.2768 18.3253 90.00 90.00 120.00
Space group R3m (No. 160, hexagonal axes)
Symmetry-distinct sites (fractional):
V  0.0000  0.0000  0.0000
V  0.0000  0.0000  0.1418
V  0.0000  0.0000  0.4277
V  0.0000  0.0000  0.8542
Tc  0.0000  0.0000  0.2838
Tc  0.0000  0.0000  0.5667
Tc  0.0000  0.0000  0.7143

For V5Tc, a structure optimized by DFT (PBE) gives the computed X-ray diffraction stick pattern in this record (Cu Ka).
Lines closer than 0.1° are merged.

Largest 8 diffraction maxima, by angle, 10 to 90 degrees two-theta:
d (Å)	2θ/deg	I_rel
6.364	13.9	5
4.027	22.1	4
2.412	37.3	2
2.124	42.6	100
1.506	61.6	5
1.500	61.8	10
1.228	77.8	10
1.226	77.9	19

Atomic structure:
Lattice parameters (Å, degrees): 4.2445 12.7288 3.0114 90.00 90.00 90.00
Space group Cmmm (No. 65)
Symmetry-distinct sites (fractional):
V  0.0000  0.0000  0.0000
V  0.0000  0.1694  0.5000
V  0.0000  0.3338  0.0000
Tc  0.0000  0.5000  0.5000

For V5Tc, a structure optimized by DFT (PBE) gives the computed X-ray diffraction stick pattern in this record (Cu Ka).
Lines closer than 0.1° are merged.

Largest 8 diffraction maxima, by angle, 10 to 90 degrees two-theta:
d (Å)	2θ/deg	I_rel
4.521	19.6	4
2.847	31.4	5
2.126	42.5	100
2.121	42.6	50
1.507	61.5	8
1.500	61.9	15
1.228	77.7	15
1.226	78.0	29

Atomic structure:
Lattice parameters (Å, degrees): 2.9995 2.9995 9.0422 90.00 90.00 90.00
Space group P4/mmm (No. 123)
Symmetry-distinct sites (fractional):
V  0.0000  0.0000  0.0000
V  0.0000  0.0000  0.3331
V  0.5000  0.5000  0.1643
Tc  0.5000  0.5000  0.5000

For V5Tc, a structure optimized by DFT (PBE) gives the computed X-ray diffraction stick pattern in this record (Cu Ka).
Lines closer than 0.1° are merged.

Largest 8 diffraction maxima, by angle, 10 to 90 degrees two-theta:
d (Å)	2θ/deg	I_rel
3.763	23.6	18
2.174	41.5	100
2.166	41.7	38
2.092	43.2	71
1.779	51.4	11
1.505	61.6	17
1.252	76.0	14
1.240	76.9	9

Atomic structure:
Lattice parameters (Å, degrees): 5.0095 7.5395 5.0096 90.00 119.66 90.00
Space group P2_1/m (No. 11)
Symmetry-distinct sites (fractional):
V  0.1376  0.2500  0.3868
V  0.1998  0.0788  0.9497
V  0.2979  0.5795  0.5464
Tc  0.3634  0.7500  0.1119

For V4Tc, a structure optimized by DFT (PBE) gives the computed X-ray diffraction stick pattern in this record (Cu Ka).
Lines closer than 0.1° are merged.

Largest 8 diffraction maxima, by angle, 10 to 90 degrees two-theta:
d (Å)	2θ/deg	I_rel
3.531	25.2	13
2.133	42.4	100
2.119	42.7	66
2.114	42.8	33
1.503	61.7	30
1.235	77.3	15
1.225	78.0	15
1.221	78.3	10

Atomic structure:
Lattice parameters (Å, degrees): 7.3453 4.2277 5.0084 90.00 119.22 90.00
Space group C2/m (No. 12)
Symmetry-distinct sites (fractional):
V  0.1004  0.0000  0.3009
V  0.1959  0.5000  0.0881
Tc  0.0000  0.5000  0.5000

For V7Tc3W2, a structure optimized by DFT (PBE) gives the computed X-ray diffraction stick pattern in this record (Cu Ka).
Lines closer than 0.1° are merged.

Largest 8 diffraction maxima, by angle, 10 to 90 degrees two-theta:
d (Å)	2θ/deg	I_rel
5.151	17.2	25
2.964	30.2	26
2.746	32.6	27
2.127	42.5	27
2.110	42.9	26
2.100	43.1	100
1.498	61.9	17
1.223	78.2	16

Atomic structure:
Lattice parameters (Å, degrees): 4.2540 20.6025 4.2198 90.00 90.00 90.00
Space group Cmmm (No. 65)
Symmetry-distinct sites (fractional):
V  0.0000  0.0000  0.0000
V  0.0000  0.0732  0.5000
V  0.0000  0.2848  0.0000
V  0.0000  0.4282  0.0000
Tc  0.0000  0.3509  0.5000
Tc  0.0000  0.5000  0.5000
W  0.0000  0.1462  0.0000

For V5TcW4, a structure optimized by DFT (PBE) gives the computed X-ray diffraction stick pattern in this record (Cu Ka).
Lines closer than 0.1° are merged.

Largest 8 diffraction maxima, by angle, 10 to 90 degrees two-theta:
d (Å)	2θ/deg	I_rel
3.072	29.1	37
2.173	41.6	100
1.774	51.5	11
1.539	60.1	5
1.535	60.3	11
1.373	68.3	10
1.255	75.8	11
1.254	75.9	22

Atomic structure:
Lattice parameters (Å, degrees): 3.0702 3.0702 15.3854 90.00 90.00 90.00
Space group P4/mmm (No. 123)
Symmetry-distinct sites (fractional):
V  0.0000  0.0000  0.0000
V  0.0000  0.0000  0.2017
V  0.0000  0.0000  0.4029
Tc  0.5000  0.5000  0.5000
W  0.5000  0.5000  0.1007
W  0.5000  0.5000  0.3016

For V3Tc2W, a structure optimized by DFT (PBE) gives the computed X-ray diffraction stick pattern in this record (Cu Ka).
Lines closer than 0.1° are merged.

Largest 8 diffraction maxima, by angle, 10 to 90 degrees two-theta:
d (Å)	2θ/deg	I_rel
3.056	29.2	8
3.043	29.3	16
2.155	41.9	100
1.759	52.0	7
1.522	60.9	11
1.361	69.0	6
1.246	76.5	11
1.243	76.6	21

Atomic structure:
Lattice parameters (Å, degrees): 3.0431 3.0431 9.1675 90.00 90.00 90.00
Space group P4/mmm (No. 123)
Symmetry-distinct sites (fractional):
V  0.0000  0.0000  0.0000
V  0.0000  0.0000  0.3294
Tc  0.5000  0.5000  0.1646
W  0.5000  0.5000  0.5000

For TcW, a structure optimized by DFT (PBE) gives the computed X-ray diffraction stick pattern in this record (Cu Ka).
Lines closer than 0.1° are merged.

Largest 8 diffraction maxima, by angle, 10 to 90 degrees two-theta:
d (Å)	2θ/deg	I_rel
8.819	10.0	18
2.222	40.6	100
2.205	40.9	19
1.564	59.1	13
1.287	73.6	7
1.282	74.0	14
1.276	74.3	13
1.112	87.8	9

Atomic structure:
Lattice parameters (Å, degrees): 3.1608 4.4366 8.8193 90.00 90.00 90.00
Space group Cmme (No. 67)
Symmetry-distinct sites (fractional):
Tc  0.0000  0.2500  0.1230
W  0.0000  0.2500  0.6282

For Tc3W4, a structure optimized by DFT (PBE) gives the computed X-ray diffraction stick pattern in this record (Cu Ka).
Lines closer than 0.1° are merged.

Largest 8 diffraction maxima, by angle, 10 to 90 degrees two-theta:
d (Å)	2θ/deg	I_rel
5.522	16.1	6
2.225	40.5	100
1.578	58.5	6
1.571	58.8	11
1.286	73.6	11
1.284	73.8	23
1.113	87.7	7
1.111	87.9	4

Atomic structure:
Lattice parameters (Å, degrees): 3.1420 3.1420 22.0867 90.00 90.00 90.00
Space group I4/mmm (No. 139)
Symmetry-distinct sites (fractional):
Tc  0.0000  0.0000  0.0000
Tc  0.0000  0.0000  0.2883
W  0.0000  0.0000  0.1435
W  0.0000  0.0000  0.4277